# 1
For TiS, a DFT-relaxed cell (PBE, the Materials Project) gives the simulated XRD peak list in this record (Cu Kα X-rays).
Kinematic intensities with the Lorentz-polarization factor, no thermal factor.

Peak list (12 most intense, 2θ = 10–80°, by intensity)
| two_theta | I_rel |
| --- | --- |
| 42.50 | 100 |
| 34.71 | 37 |
| 56.57 | 31 |
| 31.75 | 28 |
| 73.25 | 17 |
| 56.80 | 10 |
| 53.43 | 9 |
| 66.55 | 5 |
| 68.10 | 4 |
| 66.34 | 3 |
| 27.51 | 3 |
| 64.03 | 1 |

Structure:
Cell: 3.2540 3.2540 6.4839 Å, 90.00 90.00 120.00°
Space group P6_3/mmc (No. 194)
Inequivalent atoms, fractional coordinates:
1 Ti 0.0000 0.0000 0.0000 x2
2 S 0.3333 0.6667 0.2500 x2

---

# 2
For Ba4As2O, a DFT-relaxed cell (PBE, the Materials Project) gives the simulated XRD peak list in this record (Cu Kα X-rays).
Kinematic intensities with the Lorentz-polarization factor, no thermal factor.

Peak list (12 most intense, 2θ = 10–80°, by intensity)
| two_theta | I_rel |
| --- | --- |
| 26.18 | 100 |
| 31.73 | 75 |
| 34.31 | 67 |
| 30.78 | 60 |
| 46.75 | 56 |
| 59.83 | 24 |
| 49.31 | 24 |
| 56.67 | 23 |
| 59.25 | 23 |
| 10.14 | 13 |
| 48.47 | 11 |
| 71.95 | 11 |

Structure:
Cell: 5.2275 5.2275 17.4438 Å, 90.00 90.00 90.00°
Space group I4/mmm (No. 139)
Inequivalent atoms, fractional coordinates:
1 Ba 0.0000 0.0000 0.1759 x4
2 Ba 0.0000 0.5000 0.0000 x4
3 As 0.0000 0.0000 0.3643 x4
4 O 0.0000 0.0000 0.0000 x2

---

# 3
For NbSe2I2, a DFT-relaxed cell (PBE, the Materials Project) gives the simulated XRD peak list in this record (Cu Kα X-rays).
Kinematic intensities with the Lorentz-polarization factor, no thermal factor.

Peak list (12 most intense, 2θ = 10–80°, by intensity)
| two_theta | I_rel |
| --- | --- |
| 30.11 | 100 |
| 11.68 | 88 |
| 37.88 | 35 |
| 31.93 | 32 |
| 14.93 | 31 |
| 26.06 | 26 |
| 41.63 | 22 |
| 23.48 | 21 |
| 39.72 | 16 |
| 33.92 | 16 |
| 38.88 | 15 |
| 39.59 | 15 |

Structure:
Cell: 7.2762 12.2044 8.1224 Å, 90.00 111.11 90.00°
Space group C2/m (No. 12)
Inequivalent atoms, fractional coordinates:
1 Nb 0.0000 0.1217 0.0000 x4
2 Se 0.1292 0.0000 0.2916 x4
3 Se 0.1793 0.5000 0.8829 x4
4 I 0.2264 0.2042 0.7811 x8

---

# 4
For TmNiBi, a DFT-relaxed cell (PBE, the Materials Project) gives the simulated XRD peak list in this record (Cu Kα X-rays).
Kinematic intensities with the Lorentz-polarization factor, no thermal factor.

Peak list (10 most intense, 2θ = 10–80°, by intensity)
| two_theta | I_rel |
| --- | --- |
| 39.67 | 100 |
| 27.76 | 63 |
| 71.98 | 35 |
| 64.89 | 25 |
| 49.11 | 18 |
| 57.35 | 17 |
| 23.98 | 7 |
| 46.89 | 4 |
| 63.05 | 1 |
| 77.12 | 1 |

Structure:
Cell: 6.4267 6.4267 6.4267 Å, 90.00 90.00 90.00°
Space group F-43m (No. 216)
Inequivalent atoms, fractional coordinates:
1 Tm 0.0000 0.0000 0.0000 x4
2 Ni 0.2500 0.2500 0.2500 x4
3 Bi 0.0000 0.0000 0.5000 x4

---

# 5
For Cr2S3, a DFT-relaxed cell (PBE, the Materials Project) gives the simulated XRD peak list in this record (Cu Kα X-rays).
Kinematic intensities with the Lorentz-polarization factor, no thermal factor.

Peak list (12 most intense, 2θ = 10–80°, by intensity)
| two_theta | I_rel |
| --- | --- |
| 44.79 | 100 |
| 34.38 | 93 |
| 53.73 | 48 |
| 15.96 | 37 |
| 30.25 | 22 |
| 72.47 | 21 |
| 58.86 | 18 |
| 18.13 | 17 |
| 20.37 | 13 |
| 65.36 | 12 |
| 27.61 | 8 |
| 67.45 | 7 |

Structure:
Cell: 5.9095 5.9095 16.6628 Å, 90.00 90.00 120.00°
Space group R3 (No. 146, hexagonal axes)
Inequivalent atoms, fractional coordinates:
1 Cr 0.0000 0.0000 0.0000 x3
2 Cr 0.0000 0.0000 0.1656 x3
3 Cr 0.0000 0.0000 0.3435 x3
4 Cr 0.0000 0.0000 0.6695 x3
5 S 0.9996 0.6578 0.4181 x9
6 S 0.0031 0.3272 0.2553 x9

---

# 6
For Ce4Cu3S4O4, a DFT-relaxed cell (PBE, the Materials Project) gives the simulated XRD peak list in this record (Cu Kα X-rays).
Kinematic intensities with the Lorentz-polarization factor, no thermal factor.

Peak list (12 most intense, 2θ = 10–80°, by intensity)
| two_theta | I_rel |
| --- | --- |
| 31.58 | 100 |
| 25.35 | 51 |
| 39.39 | 39 |
| 46.85 | 36 |
| 57.60 | 34 |
| 34.44 | 29 |
| 55.55 | 25 |
| 32.65 | 19 |
| 32.38 | 17 |
| 49.86 | 16 |
| 54.01 | 14 |
| 58.10 | 14 |

Structure:
Cell: 5.4852 5.4852 16.5912 Å, 90.00 90.00 90.00°
Space group I-42m (No. 121)
Inequivalent atoms, fractional coordinates:
1 Ce 0.2495 0.2495 0.1725 x8
2 Cu 0.0000 0.0000 0.0000 x2
3 Cu 0.0000 0.5000 0.0000 x4
4 S 0.2494 0.2494 0.9164 x8
5 O 0.0000 0.0000 0.2504 x4
6 O 0.0000 0.5000 0.2500 x4